Entry 1:
Simulated powder X-ray diffraction pattern of LaZn3Ni for a wavelength of 1.5418 Å, from a DFT-relaxed cell (PBE, Alexandria).
Intensities are scaled so that the largest is 100.

Principal peaks in the range 2θ = 10–90°, in order of falling intensity:
index, d_spacing, 2θ (°), intensity
1 3 1, 2.648, 33.85, 100
2 0 2, 2.132, 42.40, 90
2 2 0, 2.771, 32.31, 85
0 2 2, 2.442, 36.80, 68
1 5 1, 1.831, 49.81, 31
3 3 1, 1.753, 52.17, 29
2 0 0, 3.309, 26.94, 21
1 3 3, 1.581, 58.36, 20

Structural model:
Cell lengths 6.6180, 10.1342, 5.5751 Å; angles 90.00, 90.00, 90.00 degrees
Space group Cmcm (No. 63)
Unique sites:
La1 0.0000 0.2376 0.2500
Zn1 0.0000 0.1084 0.7500
Zn2 0.2105 0.5000 0.0000
Ni1 0.0000 0.3502 0.7500

Entry 2:
Simulated powder X-ray diffraction pattern of MgNiSnSe for a wavelength of 1.5418 Å, from a DFT-relaxed cell (PBE, Alexandria).
Intensities are scaled so that the largest is 100.

Principal peaks in the range 2θ = 10–90°, in order of falling intensity:
index, d_spacing, 2θ (°), intensity
1 1 0, 2.575, 34.84, 100
1 1 4, 1.951, 46.55, 62
0 0 4, 2.990, 29.88, 53
1 0 1, 3.483, 25.57, 36
2 0 0, 1.821, 50.10, 35
1 0 3, 2.689, 33.33, 32
0 0 2, 5.980, 14.81, 31
2 0 4, 1.555, 59.44, 30

Structural model:
Cell lengths 3.6414, 3.6414, 11.9596 Å; angles 90.00, 90.00, 90.00 degrees
Space group I4mm (No. 107)
Unique sites:
Mg1 0.0000 0.0000 0.0000
Ni1 0.0000 0.0000 0.2234
Sn1 0.0000 0.0000 0.6862
Se1 0.0000 0.0000 0.4284